The following is a calculated powder X-ray diffraction pattern of Y6In2H. It was derived from a DFT-relaxed cell (GGA-PBE, Alexandria), using λ = 1.5418 Å (Cu Kα).
Kinematic intensities with the Lorentz-polarization factor, no thermal factor.

Structural model:
Cell lengths 6.4157, 8.1672, 11.4756 Å; angles 90.00, 123.79, 90.00 degrees
Sites, in units of the cell vectors:
Y: 0.0955 0.1878 0.4488
Y: 0.0955 0.3122 0.9488
Y: 0.3007 0.6750 0.4489
Y: 0.3007 0.8250 0.9489
Y: 0.3636 0.0291 0.2532
Y: 0.3636 0.4709 0.7532
Y: 0.6364 0.5291 0.2468
Y: 0.6364 0.9709 0.7468
Y: 0.6993 0.1750 0.0511
Y: 0.6993 0.3250 0.5511
Y: 0.9045 0.6878 0.0512
Y: 0.9045 0.8122 0.5512
In: 0.1770 0.1160 0.7458
In: 0.1770 0.3840 0.2458
In: 0.8230 0.6160 0.7542
In: 0.8230 0.8840 0.2542
H: 0.0000 0.0000 0.0000
H: 0.0000 0.5000 0.5000

The 12 most intense peaks (10 to 80 degrees two-theta), sorted by position:
19.91 deg, I = 21, (1 1 0)
27.53 deg, I = 22, (1 2 0)
28.78 deg, I = 58, (0 2 2)
29.93 deg, I = 19, (2 1 -2)
31.40 deg, I = 100, (2 1 -1)
32.05 deg, I = 59, (1 2 1)
33.31 deg, I = 58, (1 1 -4)
35.42 deg, I = 27, (2 1 0)
35.53 deg, I = 28, (2 1 -4)
35.82 deg, I = 79, (1 3 -1)
37.09 deg, I = 28, (1 3 -2)
37.73 deg, I = 25, (0 0 4)